Calculated X-ray diffraction stick pattern
Compound: MnH4Cl2O2
Radiation: Cu Kα X-rays
Structure: a structure optimized by DFT (PBE+U)
Neutral-atom scattering factors, no anomalous dispersion.

Structure:
a b c (Å): 7.846 8.765 3.770
angles (deg): 90.00 102.99 90.00
Space group C2/m (No. 12)
One atom of each set of equivalent atoms:
1 Mn 0.000 0.000 0.000 [2 per cell]
2 H 0.089 0.314 0.150 [8 per cell]
3 Cl 0.233 0.000 0.599 [4 per cell]
4 O 0.000 0.247 0.000 [4 per cell]

Largest 10 diffraction maxima, sorted by position, 2θ from 10° to 90°:
- 5.762 Å, 2θ = 15.4°, rel. 100
- 4.383 Å, 2θ = 20.3°, rel. 55
- 3.008 Å, 2θ = 29.7°, rel. 53
- 2.883 Å, 2θ = 31.0°, rel. 50
- 2.729 Å, 2θ = 32.8°, rel. 17
- 2.393 Å, 2θ = 37.6°, rel. 30
- 2.276 Å, 2θ = 39.6°, rel. 28
- 2.191 Å, 2θ = 41.2°, rel. 24
- 1.842 Å, 2θ = 49.5°, rel. 17
- 1.835 Å, 2θ = 49.7°, rel. 20